NdAl5CoPd: theoretical X-ray powder pattern (Cu Kα (weighted mean of Kα1 and Kα2)), based on DFT lattice parameters and positions (PBE).
Intensities are scaled so that the largest is 100.

The 10 most intense peaks (2θ = 10–90°), low angle first:
h k l	2theta	intensity
0 1 1	15.30	29
1 0 1	23.89	24
0 2 0	24.76	43
0 1 3	30.16	30
1 1 2	31.37	100
1 2 1	34.67	56
1 0 3	35.47	30
2 0 0	44.94	63
1 3 2	47.93	43
2 2 4	65.45	24

Crystal structure
```
data_NdAl5CoPd
_cell_length_a 4.0291
_cell_length_b 7.1929
_cell_length_c 9.7562
_cell_angle_alpha 90.00
_cell_angle_beta 90.00
_cell_angle_gamma 90.00
_symmetry_space_group_name_H-M 'I m m 2'
_symmetry_Int_Tables_number 44
loop_
_symmetry_equiv_pos_as_xyz
'x,y,z'
'-x,-y,z'
'-x,y,z'
'x,-y,z'
'x+1/2,y+1/2,z+1/2'
'-x+1/2,-y+1/2,z+1/2'
'-x+1/2,y+1/2,z+1/2'
'x+1/2,-y+1/2,z+1/2'
loop_
_atom_site_label
_atom_site_type_symbol
_atom_site_fract_x
_atom_site_fract_y
_atom_site_fract_z
Nd1 Nd 0.0000 0.0000 0.0000
Al1 Al 0.0000 0.1816 0.6669
Al2 Al 0.0000 0.1998 0.3540
Al3 Al 0.0000 0.5000 0.0136
Co1 Co 0.0000 0.5000 0.2469
Pd1 Pd 0.0000 0.5000 0.7666
```

---

PrNdAl4Co2: theoretical X-ray powder pattern (Cu Kα (weighted mean of Kα1 and Kα2)), based on DFT lattice parameters and positions (PBE).
Intensities are scaled so that the largest is 100.

The 10 most intense peaks (2θ = 10–90°), low angle first:
h k l	2theta	intensity
0 1 1	23.34	72
2 0 0	25.31	55
0 1 3	33.61	16
2 1 1	34.70	100
1 1 3	36.02	95
1 0 4	36.36	65
0 2 0	44.32	30
4 0 0	51.93	47
4 1 1	57.71	17
1 2 4	58.63	38

Crystal structure
```
data_PrNdAl4Co2
_cell_length_a 7.0374
_cell_length_b 4.0875
_cell_length_c 10.5544
_cell_angle_alpha 90.00
_cell_angle_beta 90.00
_cell_angle_gamma 90.00
_symmetry_space_group_name_H-M 'A m m 2'
_symmetry_Int_Tables_number 38
loop_
_symmetry_equiv_pos_as_xyz
'x,y,z'
'-x,-y,z'
'-x,y,z'
'x,-y,z'
'x,y+1/2,z+1/2'
'-x,-y+1/2,z+1/2'
'-x,y+1/2,z+1/2'
'x,-y+1/2,z+1/2'
loop_
_atom_site_label
_atom_site_type_symbol
_atom_site_fract_x
_atom_site_fract_y
_atom_site_fract_z
Pr1 Pr 0.0000 0.0000 0.0000
Nd1 Nd 0.5000 0.0000 0.1091
Al1 Al 0.1932 0.0000 0.7240
Al2 Al 0.3082 0.0000 0.3848
Co1 Co 0.0000 0.0000 0.2709
Co2 Co 0.5000 0.0000 0.8381
```

---

Zr3Al3CoNiPt: theoretical X-ray powder pattern (Cu Kα (weighted mean of Kα1 and Kα2)), based on DFT lattice parameters and positions (PBE).
Intensities are scaled so that the largest is 100.

The 10 most intense peaks (2θ = 10–90°), low angle first:
h k l	2theta	intensity
1 0 0	14.46	58
1 1 0	25.17	46
1 0 1	29.61	36
1 1 1	36.28	100
2 1 0	38.89	42
2 0 1	39.25	93
3 0 0	44.35	45
1 2 1	47.20	37
3 0 2	71.38	21
3 2 1	72.57	28

Crystal structure
```
data_Zr3Al3CoNiPt
_cell_length_a 7.0750
_cell_length_b 7.0750
_cell_length_c 3.4662
_cell_angle_alpha 90.00
_cell_angle_beta 90.00
_cell_angle_gamma 120.00
_symmetry_space_group_name_H-M 'P -6'
_symmetry_Int_Tables_number 174
loop_
_symmetry_equiv_pos_as_xyz
'x,y,z'
'-x+y,-x,-z'
'-y,x-y,z'
'x,y,-z'
'-x+y,-x,z'
'-y,x-y,-z'
loop_
_atom_site_label
_atom_site_type_symbol
_atom_site_fract_x
_atom_site_fract_y
_atom_site_fract_z
Zr1 Zr 0.0839 0.7306 0.0000
Al1 Al 0.4162 0.0852 0.5000
Co1 Co 0.3333 0.6667 0.5000
Ni1 Ni 0.6667 0.3333 0.0000
Pt1 Pt 0.0000 0.0000 0.5000
```

---

- Number 3 is which compound?
  Zr3Al3CoNiPt